Computed powder diffractogram
Compound: PbO2
Radiation: Cu Kα (λ = 1.5418 Å)
Structure: DFT lattice parameters and positions (GGA-PBE)

Structure:
Lattice parameters (Å, degrees): 5.0796 5.0796 3.4437 90.00 90.00 90.00
Space group P4_2/mnm (No. 136)
Inequivalent atoms, fractional coordinates:
Pb 0.0000 0.0000 0.0000 [2 per cell]
O 0.1920 0.1920 0.5000 [4 per cell]

Largest 10 diffraction maxima, low angle first, 5 to 70 degrees two-theta:
two_theta  intensity  index
24.79  100.0  1 1 0
31.38  94.4  1 0 1
35.34  30.3  2 0 0
47.98  72.9  2 1 1
50.84  16.6  2 2 0
53.20  8.1  0 0 2
57.36  18.4  3 1 0
59.54  18.6  1 1 2
60.98  20.7  3 0 1
65.49  11.3  2 0 2